No. 1
Diffraction record for Mg2TiGeO6. The powder XRD pattern is simulated, not measured: it uses a GGA-PBE-relaxed structure and Cu Kα, 1.54184 Å.

Cell and atoms:
```
Mg2TiGeO6
1.0
5.1134 0.0000 0.0000
0.0000 5.1134 0.0000
0.0000 0.0000 4.6915
Mg Ti Ge O
2 1 1 6
Cartesian
0.0000 2.5567 0.0000
2.5567 0.0000 0.0000
0.0000 0.0000 2.9891
2.5567 2.5567 3.0091
0.0000 0.0000 1.2549
1.3010 1.3010 3.6697
1.3010 3.8124 3.6697
2.5567 2.5567 1.2712
3.8124 1.3010 3.6697
3.8124 3.8124 3.6697
```

Principal peaks in the range 10 to 90 degrees two-theta, most intense first:
d/Å  intensity
2.864  100
4.692  70
3.616  49
1.808  39
1.968  36
2.557  33
1.529  28
1.334  21

=====

No. 2
Diffraction record for Na5B7C3. The powder XRD pattern is simulated, not measured: it uses a GGA-PBE-relaxed structure and Cu Kα, 1.54184 Å.

Cell and atoms:
```
Na5B7C3
1.0
8.9914 -1.4050 0.0000
8.9914 1.4050 0.0000
-5.2921 0.0000 12.3490
Na B C
10 14 6
Cartesian
0.0000 0.0000 0.0000
-2.6460 0.0000 6.1745
1.5030 0.0000 4.9041
-1.1753 0.0000 11.1261
5.6197 0.0000 3.6840
2.9423 0.0000 9.9239
9.7485 0.0000 2.4251
7.0711 0.0000 8.6649
13.8662 0.0000 1.2229
11.1878 0.0000 7.4449
-1.0811 0.0000 3.8182
2.4962 0.0000 0.8223
-0.1148 0.0000 7.1851
3.0135 0.0000 2.4899
0.3596 0.0000 8.7830
4.1217 0.0000 6.2502
7.2181 0.0000 1.5063
5.4727 0.0000 10.8427
8.5691 0.0000 6.0988
12.3312 0.0000 3.5660
9.6773 0.0000 9.8591
12.8056 0.0000 5.1639
10.1946 0.0000 11.5266
13.7719 0.0000 8.5307
-3.7597 0.0000 10.0731
1.4442 0.0000 12.2980
4.5516 0.0000 7.7365
8.1393 0.0000 4.6125
11.2466 0.0000 0.0510
16.4505 0.0000 2.2759
```

Principal peaks in the range 10 to 90 degrees two-theta, most intense first:
d/Å  intensity
2.141  100
2.141  99
2.212  96
2.153  77
2.467  33
1.466  33
1.212  32
1.241  26

=====

No. 3
Diffraction record for RbLaSb2I. The powder XRD pattern is simulated, not measured: it uses a GGA-PBE-relaxed structure and Cu Kα, 1.54184 Å.

Cell and atoms:
```
RbLaSb2I
1.0
6.1461 0.0000 0.0000
0.0000 6.1461 0.0000
0.0000 0.0000 6.4642
Rb La Sb I
1 1 2 1
Cartesian
0.0000 0.0000 0.0000
3.0731 3.0731 3.2321
0.0000 3.0731 3.2321
3.0731 0.0000 3.2321
3.0731 3.0731 0.0000
```

Principal peaks in the range 10 to 90 degrees two-theta, most intense first:
d/Å  intensity
3.073  100
3.607  88
2.227  81
3.232  57
6.146  47
1.803  42
2.173  38
1.861  27

=====

No. 4
Diffraction record for Mg5Pd2. The powder XRD pattern is simulated, not measured: it uses a GGA-PBE-relaxed structure and Cu Kα, 1.54184 Å.

Cell and atoms:
```
Mg5Pd2
1.0
-3.4405 6.6149 2.9119
3.4405 -6.6149 2.9119
3.4405 6.6149 -2.9119
Mg Pd
10 4
Cartesian
3.4405 3.5479 -1.4559
4.4968 1.1012 0.0000
0.0000 0.0000 1.4559
1.0563 5.5137 0.0000
0.0000 3.0670 1.4559
3.4405 3.5479 1.4559
2.3842 1.1012 2.9119
0.0000 0.0000 4.3678
-1.0563 5.5137 2.9119
0.0000 3.0670 4.3678
1.8299 1.6239 0.0000
1.8299 -1.6239 2.9119
1.6105 8.2388 0.0000
1.6105 4.9911 2.9119
```

Principal peaks in the range 10 to 90 degrees two-theta, most intense first:
d/Å  intensity
3.690  100
2.384  41
2.223  37
2.186  36
2.031  28
1.975  27
3.307  17
2.912  15

=====

No. 5
Diffraction record for Tb2YTm6. The powder XRD pattern is simulated, not measured: it uses a GGA-PBE-relaxed structure and Cu Kα, 1.54184 Å.

Cell and atoms:
```
Tb2YTm6
1.0
6.3206 -7.0365 0.0000
6.3206 7.0365 0.0000
-1.5730 0.0000 6.2852
Tb Y Tm
4 2 12
Cartesian
1.2134 0.3387 2.3283
0.4269 -0.3387 5.4709
10.6414 0.3387 0.8144
9.8549 -0.3387 3.9570
5.1409 1.6718 4.7139
5.9274 -1.6718 1.5713
1.8687 2.8203 4.5799
4.2827 4.4227 6.2639
5.9991 4.4227 3.1640
4.3342 1.2586 1.1620
2.6552 -2.8203 1.4373
3.5477 -1.2586 4.3047
7.5206 1.2586 1.9806
8.4131 2.8203 4.8480
6.7341 -1.2586 5.1232
5.0692 -4.4227 3.1212
6.7856 -4.4227 0.0214
9.1996 -2.8203 1.7053
```

Principal peaks in the range 10 to 90 degrees two-theta, most intense first:
d/Å  intensity
2.810  100
2.853  57
3.070  40
2.743  38
2.623  34
2.556  33
2.666  29
3.027  22

=====

No. 6
Diffraction record for Pm5Er2Th2. The powder XRD pattern is simulated, not measured: it uses a GGA-PBE-relaxed structure and Cu Kα, 1.54184 Å.

Cell and atoms:
```
Pm5Er2Th2
1.0
3.5363 0.0000 0.0000
-1.7616 9.0023 0.0000
-0.0008 -2.4339 9.4792
Pm Er Th
5 2 2
Cartesian
0.0000 0.0000 0.0000
0.0016 1.4874 5.0094
0.0067 4.1713 7.5283
1.7673 2.3971 1.9509
1.7724 5.0810 4.4698
-0.0017 0.8359 8.4769
1.7756 5.7326 1.0024
0.0056 8.0051 3.0655
1.7683 -1.4366 6.4137
```

Principal peaks in the range 10 to 90 degrees two-theta, most intense first:
d/Å  intensity
2.928  100
2.906  89
2.734  89
2.759  75
2.514  63
3.204  55
1.747  37
3.021  36

=====

No. 7
Diffraction record for Rb3LiSi2O6. The powder XRD pattern is simulated, not measured: it uses a GGA-PBE-relaxed structure and Cu Kα, 1.54184 Å.

Cell and atoms:
```
Rb3LiSi2O6
1.0
6.0473 0.0000 0.0000
-3.0237 5.2371 0.0000
0.0000 0.0000 7.2743
Rb Li Si O
3 1 2 6
Cartesian
0.0000 0.0000 0.0000
0.0000 3.4914 5.3071
3.0237 1.7457 1.9672
0.0000 0.0000 3.6372
0.0000 3.4914 2.1040
3.0237 1.7457 5.1703
0.0000 1.9023 2.1194
-1.3762 4.2860 2.1194
1.6474 0.9511 5.1549
1.3762 4.2860 2.1194
4.3999 0.9511 5.1549
3.0237 3.3349 5.1549
```

Principal peaks in the range 10 to 90 degrees two-theta, most intense first:
d/Å  intensity
3.024  100
2.987  87
4.250  74
2.464  60
2.125  52
3.637  31
1.739  27
1.512  22

=====

No. 8
Diffraction record for Sm2ThTe2S2. The powder XRD pattern is simulated, not measured: it uses a GGA-PBE-relaxed structure and Cu Kα, 1.54184 Å.

Cell and atoms:
```
Sm2ThTe2S2
1.0
-2.6408 2.6408 7.9020
2.6408 -2.6408 7.9020
2.6408 2.6408 -7.9020
Sm Th Te S
2 1 2 2
Cartesian
0.0000 0.0000 1.7293
0.0000 0.0000 14.0746
0.0000 0.0000 7.9020
0.0000 0.0000 4.8599
0.0000 0.0000 10.9440
2.6408 0.0000 0.0000
0.0000 2.6408 0.0000
```

Principal peaks in the range 10 to 90 degrees two-theta, most intense first:
d/Å  intensity
3.734  100
2.712  94
1.892  65
2.640  56
1.867  23
1.329  20
1.670  20
1.538  17